[1]
Computed XRD peak list
Compound: Ce2MgZn6
Radiation: Cu Kα
Structure: a structure optimized by DFT (GGA-PBE)
Peak positions follow from Bragg's law for the DFT cell and can differ from measured ones.

Most intense lines, 10° ≤ 2θ ≤ 90°, most intense first:
- 2θ 36.2, I 100
- 2θ 38.8, I 81
- 2θ 54.1, I 30
- 2θ 68.6, I 29
- 2θ 72.5, I 24
- 2θ 12.7, I 20
- 2θ 70.3, I 13
- 2θ 25.6, I 10
- 2θ 31.2, I 10
- 2θ 58.6, I 8

Cell and atoms:
Cell lengths 8.0383, 8.0383, 3.1505 Å; angles 90.00, 90.00, 120.00 degrees
Positions (direct):
Ce 0.3333 0.6667 0.0000
Ce 0.6667 0.3333 0.0000
Mg 0.0000 0.0000 0.0000
Zn 0.0000 0.3210 0.5000
Zn 0.0000 0.6790 0.5000
Zn 0.3210 0.0000 0.5000
Zn 0.3210 0.3210 0.5000
Zn 0.6790 0.0000 0.5000
Zn 0.6790 0.6790 0.5000

[2]
Computed XRD peak list
Compound: BeNb
Radiation: Cu Kα
Structure: a structure optimized by DFT (GGA-PBE)
Peak positions follow from Bragg's law for the DFT cell and can differ from measured ones.

Most intense lines, 10° ≤ 2θ ≤ 90°, most intense first:
- 2θ 39.3, I 100
- 2θ 32.6, I 84
- 2θ 34.3, I 61
- 2θ 27.9, I 57
- 2θ 42.8, I 42
- 2θ 46.9, I 37
- 2θ 41.6, I 37
- 2θ 26.5, I 29
- 2θ 43.4, I 28
- 2θ 21.1, I 27

Cell and atoms:
Cell lengths 4.7332, 4.8871, 9.2854 Å; angles 90.00, 90.00, 90.00 degrees
Positions (direct):
Be 0.1388 0.1445 0.2237
Be 0.1415 0.4142 0.4024
Be 0.3585 0.5858 0.9024
Be 0.3612 0.8555 0.7237
Be 0.6388 0.3555 0.7763
Be 0.6415 0.0858 0.5976
Be 0.8585 0.9142 0.0976
Be 0.8612 0.6445 0.2763
Nb 0.1294 0.9076 0.4770
Nb 0.1306 0.3511 0.6825
Nb 0.3694 0.6489 0.1825
Nb 0.3706 0.0924 0.9770
Nb 0.6294 0.5924 0.5230
Nb 0.6306 0.1489 0.3175
Nb 0.8694 0.8511 0.8175
Nb 0.8706 0.4076 0.0230